Entry 1:
Computed powder XRD pattern of ZrSnH4NF7 for Cu Kα, from a structure optimized by DFT (GGA-PBE).
Lines closer than 0.1° are merged.

Largest 10 diffraction maxima, low angle first, 15° ≤ 2θ ≤ 90°:
Position (°2θ), I/Imax, index
15.8, 80, 0 1 1
20.6, 93, 2 0 0
25.4, 100, 0 1 3
26.1, 47, 2 1 1
28.7, 30, 0 2 0
32.9, 32, 2 1 3
42.0, 28, 4 0 0
48.9, 22, 0 3 3
49.7, 29, 4 1 3
53.6, 29, 2 3 3

Atomic structure:
Cell: 8.610 6.225 12.733 Å, 90.00 90.00 90.00°
Space group Pmna (No. 53)
One atom of each set of equivalent atoms:
Zr (0.000, 0.249, 0.081)
Sn (0.000, 0.229, 0.403)
H (0.161, 0.346, 0.782)
H (0.203, 0.156, 0.693)
N (0.250, 0.252, 0.750)
F (0.000, 0.108, 0.237)
F (0.000, 0.114, 0.587)
F (0.000, 0.123, 0.928)
F (0.000, 0.499, 0.190)
F (0.139, 0.500, 0.000)
F (0.232, 0.164, 0.105)

=====

Entry 2:
Computed powder XRD pattern of TiH8N2F6 for Cu Kα, from a structure optimized by DFT (GGA-PBE).
Lines closer than 0.1° are merged.

Largest 10 diffraction maxima, low angle first, 15° ≤ 2θ ≤ 90°:
Position (°2θ), I/Imax, index
17.6, 88, 1 0 0
18.2, 32, 0 0 1
25.4, 83, 1 0 1
30.7, 12, 1 1 0
40.2, 100, 2 0 1
48.6, 13, 1 1 2
51.5, 19, 2 1 1
52.1, 31, 2 0 2
63.9, 20, 2 2 0
68.6, 12, 0 2 3

Atomic structure:
Cell: 5.8237 5.8237 4.8865 Å, 90.00 90.00 120.00°
Space group P-3m1 (No. 164)
One atom of each set of equivalent atoms:
Ti (0.0000, 0.0000, 0.0000)
H (0.1413, 0.5706, 0.2358)
H (0.3333, 0.6667, 0.5172)
N (0.3333, 0.6667, 0.3058)
F (0.1566, 0.3131, 0.7835)